# BaAcTlAg
Theoretical X-ray powder pattern, Cu Kα (weighted mean of Kα1 and Kα2). Input: a cell relaxed with PBE.
Lines closer than 0.1° are merged.

Principal peaks in the range 2θ = 10–90°, sorted by position:
2θ/deg  d/Å  I_rel
10.41  8.502  12
30.41  2.940  100
31.08  2.877  49
44.53  2.035  18
53.61  1.710  18
54.88  1.673  38
63.27  1.470  11
87.17  1.118  10
88.91  1.101  9
89.94  1.091  10

Structure:
a b c (Å): 4.069 4.069 8.502
angles (deg): 90.00 90.00 90.00
Fractional positions:
Ba: 0.000 0.000 0.000
Ac: 0.000 0.000 0.525
Tl: 0.500 0.500 0.276
Ag: 0.500 0.500 0.735



# Ba2CaAl2O6
Theoretical X-ray powder pattern, Cu Kα (weighted mean of Kα1 and Kα2). Input: a cell relaxed with PBE.
Lines closer than 0.1° are merged.

Principal peaks in the range 2θ = 10–90°, sorted by position:
2θ/deg  d/Å  I_rel
14.63  6.053  40
19.73  4.500  30
29.87  2.991  91
30.05  2.974  100
33.41  2.682  29
36.05  2.491  33
40.07  2.250  20
42.88  2.109  40
53.13  1.724  38
62.05  1.496  20

Structure:
a b c (Å): 6.969 6.969 6.969
angles (deg): 50.83 50.83 50.83
Fractional positions:
Ba: 0.206 0.206 0.206
Ba: 0.794 0.794 0.794
Ca: 0.000 0.000 0.000
Al: 0.419 0.419 0.419
Al: 0.581 0.581 0.581
O: 0.249 0.744 0.744
O: 0.256 0.256 0.751
O: 0.256 0.751 0.256
O: 0.744 0.249 0.744
O: 0.744 0.744 0.249
O: 0.751 0.256 0.256



# MnTl2GaTe4
Theoretical X-ray powder pattern, Cu Kα (weighted mean of Kα1 and Kα2). Input: a cell relaxed with PBE.
Lines closer than 0.1° are merged.

Principal peaks in the range 2θ = 10–90°, sorted by position:
2θ/deg  d/Å  I_rel
29.08  3.071  100
31.95  2.801  10
40.74  2.215  12
41.58  2.172  47
42.48  2.128  12
50.81  1.797  11
52.28  1.750  12
60.32  1.534  7
68.28  1.374  17
77.11  1.237  7

Structure:
a b c (Å): 8.691 8.691 8.691
angles (deg): 121.36 118.72 89.95
Fractional positions:
Mn: 0.500 0.000 0.000
Mn: 0.500 0.500 0.500
Tl: 0.000 0.000 0.000
Tl: 0.000 0.000 0.500
Tl: 0.000 0.500 0.000
Tl: 0.500 0.000 0.500
Ga: 0.000 0.500 0.500
Ga: 0.500 0.500 0.000
Te: 0.272 0.293 0.521
Te: 0.272 0.752 0.979
Te: 0.278 0.739 0.539
Te: 0.300 0.261 0.039
Te: 0.700 0.739 0.961
Te: 0.722 0.261 0.461
Te: 0.728 0.248 0.021
Te: 0.728 0.707 0.479